# 1
# LiNbWO7
Calculated powder X-ray diffraction pattern, a wavelength of 1.5418 Å. Input: a crystal structure in the Materials Project, relaxed with GGA+U.
Lines closer than 0.1° are merged.

Most intense lines, 2θ from 15° to 90°, by angle:
- 2θ 27.85, 3.204 Å, rel. 27
- 2θ 28.04, 3.182 Å, rel. 98
- 2θ 28.23, 3.161 Å, rel. 48
- 2θ 29.20, 3.059 Å, rel. 100
- 2θ 29.44, 3.034 Å, rel. 77
- 2θ 33.81, 2.651 Å, rel. 30
- 2θ 37.29, 2.411 Å, rel. 27
- 2θ 48.93, 1.861 Å, rel. 63
- 2θ 57.55, 1.602 Å, rel. 25
- 2θ 57.96, 1.591 Å, rel. 28

Atomic structure:
```
data_LiNbWO7
_space_group_name_H-M_alt 'P 1'
_space_group_IT_number 1
_cell_length_a 7.445
_cell_length_b 7.445
_cell_length_c 7.445
_cell_angle_alpha 119.93
_cell_angle_beta 119.12
_cell_angle_gamma 90.83
loop_
_space_group_symop_operation_xyz
'x,y,z'
loop_
_atom_site_label
_atom_site_fract_x
_atom_site_fract_y
_atom_site_fract_z
Li1 0.500 0.000 0.000
Li2 0.500 0.500 0.500
Nb1 0.000 0.000 0.000
Nb2 0.500 0.000 0.500
W1 0.000 0.000 0.500
W2 0.000 0.500 0.000
O1 0.056 0.306 0.750
O2 0.059 0.314 0.119
O3 0.059 0.940 0.745
O4 0.305 0.060 0.619
O5 0.305 0.686 0.245
O6 0.323 0.073 0.250
O7 0.463 0.713 0.750
O8 0.537 0.287 0.250
O9 0.677 0.927 0.750
O10 0.695 0.314 0.755
O11 0.695 0.940 0.381
O12 0.941 0.060 0.255
O13 0.941 0.686 0.881
O14 0.944 0.694 0.250
```

# 2
# Li3Mn4O8
Calculated powder X-ray diffraction pattern, a wavelength of 1.5418 Å. Input: a crystal structure in the Materials Project, relaxed with GGA+U.
Lines closer than 0.1° are merged.

Most intense lines, 2θ from 15° to 90°, by angle:
- 2θ 18.13, 4.894 Å, rel. 100
- 2θ 33.55, 2.671 Å, rel. 19
- 2θ 35.99, 2.495 Å, rel. 26
- 2θ 40.64, 2.220 Å, rel. 27
- 2θ 43.75, 2.069 Å, rel. 43
- 2θ 46.77, 1.942 Å, rel. 12
- 2θ 57.57, 1.601 Å, rel. 10
- 2θ 60.76, 1.524 Å, rel. 13
- 2θ 61.71, 1.503 Å, rel. 13
- 2θ 64.71, 1.441 Å, rel. 12

Atomic structure:
```
data_Li3Mn4O8
_space_group_name_H-M_alt 'P 1'
_space_group_IT_number 1
_cell_length_a 6.027
_cell_length_b 6.027
_cell_length_c 5.944
_cell_angle_alpha 118.57
_cell_angle_beta 118.57
_cell_angle_gamma 57.14
loop_
_space_group_symop_operation_xyz
'x,y,z'
loop_
_atom_site_label
_atom_site_fract_x
_atom_site_fract_y
_atom_site_fract_z
Li1 0.000 0.000 0.000
Li2 0.000 0.500 0.500
Li3 0.500 0.000 0.500
Mn1 0.000 0.000 0.500
Mn2 0.000 0.500 0.000
Mn3 0.500 0.000 0.000
Mn4 0.500 0.500 0.500
O1 0.221 0.221 0.740
O2 0.239 0.748 0.713
O3 0.244 0.244 0.213
O4 0.252 0.761 0.287
O5 0.748 0.239 0.713
O6 0.756 0.756 0.787
O7 0.761 0.252 0.287
O8 0.779 0.779 0.260
```

# 3
# Li6Cr9P8O32
Calculated powder X-ray diffraction pattern, a wavelength of 1.5418 Å. Input: a crystal structure in the Materials Project, relaxed with GGA+U.
Lines closer than 0.1° are merged.

Most intense lines, 2θ from 15° to 90°, by angle:
- 2θ 16.21, 5.467 Å, rel. 66
- 2θ 21.65, 4.105 Å, rel. 30
- 2θ 26.88, 3.317 Å, rel. 63
- 2θ 27.22, 3.276 Å, rel. 43
- 2θ 28.40, 3.143 Å, rel. 26
- 2θ 30.88, 2.896 Å, rel. 100
- 2θ 31.57, 2.834 Å, rel. 53
- 2θ 35.11, 2.556 Å, rel. 27
- 2θ 35.15, 2.553 Å, rel. 28
- 2θ 41.90, 2.156 Å, rel. 30

Atomic structure:
```
data_Li6Cr9P8O32
_space_group_name_H-M_alt 'P 1'
_space_group_IT_number 1
_cell_length_a 8.949
_cell_length_b 9.052
_cell_length_c 9.205
_cell_angle_alpha 111.75
_cell_angle_beta 99.51
_cell_angle_gamma 103.56
loop_
_space_group_symop_operation_xyz
'x,y,z'
loop_
_atom_site_label
_atom_site_fract_x
_atom_site_fract_y
_atom_site_fract_z
Li1 0.040 0.251 0.268
Li2 0.306 0.815 0.350
Li3 0.356 0.603 0.996
Li4 0.644 0.397 0.004
Li5 0.694 0.185 0.650
Li6 0.960 0.749 0.732
Cr1 0.000 0.000 0.500
Cr2 0.000 0.500 0.000
Cr3 0.210 0.225 0.935
Cr4 0.286 0.625 0.570
Cr5 0.342 0.192 0.437
Cr6 0.500 0.000 0.000
Cr7 0.658 0.808 0.563
Cr8 0.714 0.375 0.430
Cr9 0.790 0.775 0.065
P1 0.039 0.385 0.651
P2 0.161 0.872 0.089
P3 0.346 0.057 0.719
P4 0.408 0.454 0.279
P5 0.592 0.546 0.721
P6 0.654 0.943 0.281
P7 0.839 0.128 0.911
P8 0.961 0.615 0.349
O1 0.013 0.188 0.021
O2 0.093 0.250 0.529
O3 0.097 0.391 0.824
O4 0.105 0.565 0.662
O5 0.147 0.669 0.402
O6 0.160 0.025 0.704
O7 0.171 0.982 0.269
O8 0.203 0.713 0.091
O9 0.277 0.965 0.021
O10 0.289 0.327 0.317
O11 0.324 0.455 0.119
O12 0.382 0.055 0.560
O13 0.405 0.924 0.755
O14 0.422 0.232 0.869
O15 0.434 0.584 0.733
O16 0.444 0.633 0.424
O17 0.556 0.367 0.576
O18 0.566 0.416 0.267
O19 0.578 0.768 0.131
O20 0.595 0.076 0.245
O21 0.618 0.945 0.440
O22 0.676 0.545 0.881
O23 0.711 0.673 0.683
O24 0.723 0.035 0.979
O25 0.797 0.287 0.909
O26 0.829 0.018 0.731
O27 0.840 0.975 0.296
O28 0.853 0.331 0.598
O29 0.895 0.435 0.338
O30 0.903 0.609 0.176
O31 0.907 0.750 0.471
O32 0.987 0.812 0.979
```

# 4
# Li5V5Fe2O12
Calculated powder X-ray diffraction pattern, a wavelength of 1.5418 Å. Input: a crystal structure in the Materials Project, relaxed with GGA+U.
Lines closer than 0.1° are merged.

Most intense lines, 2θ from 15° to 90°, by angle:
- 2θ 18.16, 4.884 Å, rel. 37
- 2θ 19.69, 4.508 Å, rel. 20
- 2θ 23.01, 3.864 Å, rel. 33
- 2θ 31.49, 2.841 Å, rel. 14
- 2θ 36.54, 2.459 Å, rel. 18
- 2θ 42.26, 2.139 Å, rel. 50
- 2θ 42.63, 2.121 Å, rel. 100
- 2θ 61.36, 1.511 Å, rel. 28
- 2θ 61.78, 1.502 Å, rel. 40
- 2θ 62.00, 1.497 Å, rel. 13

Atomic structure:
```
data_Li5V5Fe2O12
_space_group_name_H-M_alt 'P 1'
_space_group_IT_number 1
_cell_length_a 5.215
_cell_length_b 5.215
_cell_length_c 9.911
_cell_angle_alpha 94.90
_cell_angle_beta 94.90
_cell_angle_gamma 119.64
loop_
_space_group_symop_operation_xyz
'x,y,z'
loop_
_atom_site_label
_atom_site_fract_x
_atom_site_fract_y
_atom_site_fract_z
Li1 0.000 0.000 0.000
Li2 0.250 0.253 0.763
Li3 0.401 0.071 0.236
Li4 0.747 0.750 0.237
Li5 0.929 0.599 0.764
V1 0.083 0.406 0.243
V2 0.164 0.836 0.500
V3 0.507 0.493 0.500
V4 0.594 0.917 0.757
V5 0.662 0.338 0.000
Fe1 0.332 0.668 0.000
Fe2 0.834 0.166 0.500
O1 0.026 0.681 0.123
O2 0.147 0.138 0.380
O3 0.227 0.556 0.618
O4 0.319 0.974 0.877
O5 0.371 0.378 0.126
O6 0.444 0.773 0.382
O7 0.520 0.186 0.619
O8 0.622 0.629 0.874
O9 0.721 0.071 0.130
O10 0.814 0.480 0.381
O11 0.862 0.853 0.620
O12 0.929 0.279 0.870
```